Record 1
Ca2Ag2O5: computed XRD peak list (λ = 1.5418 Å (Cu Kα)), based on a crystal structure in Alexandria, relaxed with PBE.
No peak broadening, texture or thermal motion is included.

Main lines, low angle first (15 to 90 degrees two-theta):
index  2θ/deg  I (rel.)
0 0 1  21.93  35
1 2 0  23.36  52
1 1 1  28.03  24
2 0 0  29.60  32
1 2 1  32.25  100
0 4 0  36.62  30
0 0 2  44.72  31
3 1 1  51.55  29

Cell and atoms:
Lattice parameters (Å, degrees): 6.0368 9.8149 4.0534 90.00 90.00 90.00
Space group Pbam (No. 55)
Inequivalent atoms, fractional coordinates:
Ca: 0.1541 0.1399 0.0000 [4 per cell]
Ag: 0.1934 0.4007 0.5000 [4 per cell]
O: 0.0000 0.0000 0.5000 [2 per cell]
O: 0.1231 0.6760 0.5000 [4 per cell]
O: 0.2469 0.3857 0.0000 [4 per cell]

Record 2
Ca2AgO3: computed XRD peak list (λ = 1.5418 Å (Cu Kα)), based on a crystal structure in Alexandria, relaxed with PBE.
No peak broadening, texture or thermal motion is included.

Main lines, low angle first (15 to 90 degrees two-theta):
index  2θ/deg  I (rel.)
1 1 0  20.80  55
1 1 -1  32.13  93
3 1 0  32.42  87
2 0 1  34.44  100
0 2 0  38.32  85
4 0 -1  39.40  70
2 2 1  52.46  53
4 2 -1  56.13  44

Cell and atoms:
Lattice parameters (Å, degrees): 10.4665 4.6985 3.4893 90.00 101.88 90.00
Space group C2/m (No. 12)
Inequivalent atoms, fractional coordinates:
Ca: 0.1656 0.0000 0.1597 [4 per cell]
Ag: 0.0000 0.5000 0.5000 [2 per cell]
O: 0.0000 0.0000 0.5000 [2 per cell]
O: 0.1757 0.5000 0.2455 [4 per cell]

Record 3
CaPuAg2O6: computed XRD peak list (λ = 1.5418 Å (Cu Kα)), based on a crystal structure in Alexandria, relaxed with PBE.
No peak broadening, texture or thermal motion is included.

Main lines, low angle first (15 to 90 degrees two-theta):
index  2θ/deg  I (rel.)
1 1 -1  18.64  43
1 1 1  19.86  77
2 2 0  24.52  84
3 1 -1  29.45  72
2 2 1  29.62  44
0 0 2  29.98  62
1 3 -1  31.69  100
3 1 1  31.82  44

Cell and atoms:
Lattice parameters (Å, degrees): 10.7002 9.9238 5.9880 90.00 95.39 90.00
Space group C2/c (No. 15)
Inequivalent atoms, fractional coordinates:
Ca: 0.0000 0.0912 0.2500 [4 per cell]
Pu: 0.0000 0.2631 0.7500 [4 per cell]
Ag: 0.1913 0.4057 0.2947 [8 per cell]
O: 0.0968 0.2558 0.0461 [8 per cell]
O: 0.0994 0.1053 0.6202 [8 per cell]
O: 0.1137 0.4019 0.6367 [8 per cell]

Record 4
CaSi2Ag8O8: computed XRD peak list (λ = 1.5418 Å (Cu Kα)), based on a crystal structure in Alexandria, relaxed with PBE.
No peak broadening, texture or thermal motion is included.

Main lines, low angle first (15 to 90 degrees two-theta):
index  2θ/deg  I (rel.)
1 0 1  19.44  59
1 2 0  26.39  31
2 0 1  28.30  25
2 1 1  30.73  100
2 2 1  37.15  24
3 1 1  40.94  48
2 1 2  41.31  24
2 3 0  43.20  31

Cell and atoms:
Lattice parameters (Å, degrees): 7.5507 7.5507 5.7335 90.00 90.00 90.00
Space group P-4 (No. 81)
Inequivalent atoms, fractional coordinates:
Ca: 0.0000 0.0000 0.0000 [1 per cell]
Si: 0.0000 0.0000 0.5000 [1 per cell]
Si: 0.5000 0.5000 0.0000 [1 per cell]
Ag: 0.1426 0.3805 0.1399 [4 per cell]
Ag: 0.2622 0.6358 0.4778 [4 per cell]
O: 0.0386 0.8307 0.3217 [4 per cell]
O: 0.3149 0.4813 0.8394 [4 per cell]

Record 5
CaSi2Ag8O8: computed XRD peak list (λ = 1.5418 Å (Cu Kα)), based on a crystal structure in Alexandria, relaxed with PBE.
No peak broadening, texture or thermal motion is included.

Main lines, low angle first (15 to 90 degrees two-theta):
index  2θ/deg  I (rel.)
2 0 1  29.76  38
2 1 -1  30.31  46
2 0 -2  32.44  100
2 1 1  33.38  47
1 2 -1  34.04  87
2 0 2  38.03  39
1 2 -2  39.69  43
4 0 -1  51.42  38

Cell and atoms:
Lattice parameters (Å, degrees): 7.1345 5.9925 7.4257 90.00 98.85 90.00
Space group P2 (No. 3)
Inequivalent atoms, fractional coordinates:
Ca: 0.0000 0.0000 0.0000 [1 per cell]
Si: 0.0000 0.9951 0.5000 [1 per cell]
Si: 0.5000 0.2913 0.0000 [1 per cell]
Ag: 0.1495 0.5018 0.6694 [2 per cell]
Ag: 0.3255 0.7339 0.4040 [2 per cell]
Ag: 0.3499 0.2630 0.3508 [2 per cell]
Ag: 0.3956 0.8772 0.7839 [2 per cell]
O: 0.0157 0.8458 0.3095 [2 per cell]
O: 0.1892 0.1531 0.5567 [2 per cell]
O: 0.3062 0.1299 0.0014 [2 per cell]
O: 0.4778 0.4517 0.8166 [2 per cell]

Record 6
Ca3Si4Ag2O14: computed XRD peak list (λ = 1.5418 Å (Cu Kα)), based on a crystal structure in Alexandria, relaxed with PBE.
No peak broadening, texture or thermal motion is included.

Main lines, low angle first (15 to 90 degrees two-theta):
index  2θ/deg  I (rel.)
1 1 1  18.12  42
1 1 2  26.56  82
3 1 1  27.67  40
5 1 -2  28.44  73
0 2 2  30.25  100
4 2 -2  31.38  99
4 0 -4  34.49  40
6 2 -2  38.61  75

Cell and atoms:
Lattice parameters (Å, degrees): 17.2555 7.9724 10.4319 90.00 122.45 90.00
Space group C2/c (No. 15)
Inequivalent atoms, fractional coordinates:
Ca: 0.0000 0.1568 0.2500 [4 per cell]
Ca: 0.1960 0.4495 0.4710 [8 per cell]
Si: 0.1283 0.1293 0.6378 [8 per cell]
Si: 0.1834 0.2334 0.1682 [8 per cell]
Ag: 0.0000 0.2650 0.7500 [4 per cell]
Ag: 0.0000 0.5000 0.0000 [4 per cell]
O: 0.0514 0.0737 0.6766 [8 per cell]
O: 0.0675 0.4533 0.7227 [8 per cell]
O: 0.0970 0.2538 0.4964 [8 per cell]
O: 0.1137 0.3657 0.0362 [8 per cell]
O: 0.1701 0.0407 0.0982 [8 per cell]
O: 0.1838 0.2247 0.3229 [8 per cell]
O: 0.2167 0.2009 0.8036 [8 per cell]

Record 7
Ca4AgSnO: computed XRD peak list (λ = 1.5418 Å (Cu Kα)), based on a crystal structure in Alexandria, relaxed with PBE.
No peak broadening, texture or thermal motion is included.

Main lines, low angle first (15 to 90 degrees two-theta):
index  2θ/deg  I (rel.)
1 1 1  19.77  54
1 3 1  24.62  64
2 0 0  26.89  48
0 0 2  27.34  46
1 5 1  32.31  45
2 4 0  34.11  87
0 4 2  34.48  83
2 0 2  38.73  100

Cell and atoms:
Lattice parameters (Å, degrees): 6.6310 17.2494 6.5235 90.00 90.00 90.00
Space group Cmcm (No. 63)
Inequivalent atoms, fractional coordinates:
Ca: 0.0000 0.0664 0.2500 [4 per cell]
Ca: 0.0000 0.4098 0.2500 [4 per cell]
Ca: 0.2500 0.2500 0.0000 [8 per cell]
Ag: 0.0000 0.3902 0.7500 [4 per cell]
Sn: 0.0000 0.1154 0.7500 [4 per cell]
O: 0.0000 0.2714 0.2500 [4 per cell]

Record 8
CaAg2Os: computed XRD peak list (λ = 1.5418 Å (Cu Kα)), based on a crystal structure in Alexandria, relaxed with PBE.
No peak broadening, texture or thermal motion is included.

Main lines, low angle first (15 to 90 degrees two-theta):
index  2θ/deg  I (rel.)
0 0 1  16.25  53
0 1 1  24.24  20
0 2 0  36.19  55
0 1 2  37.63  100
1 1 -1  39.05  83
1 0 1  39.18  44
1 2 1  54.39  37
0 0 4  68.80  21

Cell and atoms:
Lattice parameters (Å, degrees): 2.7585 4.9640 5.5227 90.00 98.92 90.00
Space group P2/m (No. 10)
Inequivalent atoms, fractional coordinates:
Ca: 0.0000 0.0000 0.0000 [1 per cell]
Ag: 0.2891 0.5000 0.7319 [2 per cell]
Os: 0.5000 0.0000 0.5000 [1 per cell]

Record 9
CaAg2PSe4: computed XRD peak list (λ = 1.5418 Å (Cu Kα)), based on a crystal structure in Alexandria, relaxed with PBE.
No peak broadening, texture or thermal motion is included.

Main lines, low angle first (15 to 90 degrees two-theta):
index  2θ/deg  I (rel.)
2 0 -2  21.23  21
0 0 2  25.77  29
4 0 0  30.20  43
2 2 -2  30.76  100
0 2 2  34.17  21
4 0 -4  43.25  41
6 2 -2  44.02  50
0 4 0  44.92  27

Cell and atoms:
Lattice parameters (Å, degrees): 14.3477 8.0717 8.3796 90.00 124.41 90.00
Space group Cm (No. 8)
Inequivalent atoms, fractional coordinates:
Ca: 0.0000 0.2491 0.0000 [4 per cell]
Ag: 0.1238 0.5000 0.6614 [2 per cell]
Ag: 0.1990 0.5000 0.3903 [2 per cell]
Ag: 0.4624 0.2759 0.4160 [4 per cell]
P: 0.2146 0.0000 0.9013 [2 per cell]
P: 0.2526 0.0000 0.4857 [2 per cell]
Se: 0.0197 0.0000 0.7392 [2 per cell]
Se: 0.0350 0.0000 0.2802 [2 per cell]
Se: 0.2466 0.2193 0.7572 [4 per cell]
Se: 0.2513 0.2228 0.3003 [4 per cell]
Se: 0.4644 0.0000 0.7280 [2 per cell]
Se: 0.4816 0.0000 0.2464 [2 per cell]

Record 10
CaAg2Pb2: computed XRD peak list (λ = 1.5418 Å (Cu Kα)), based on a crystal structure in Alexandria, relaxed with PBE.
No peak broadening, texture or thermal motion is included.

Main lines, low angle first (15 to 90 degrees two-theta):
index  2θ/deg  I (rel.)
0 1 1  19.35  64
1 1 0  24.52  29
0 0 3  25.97  20
2 0 0  34.89  56
0 2 0  35.01  55
1 1 -3  35.83  100
1 1 3  36.25  96
2 2 0  50.26  40

Cell and atoms:
Lattice parameters (Å, degrees): 5.1433 5.1266 10.2825 90.00 90.93 90.00
Space group P2_1/m (No. 11)
Inequivalent atoms, fractional coordinates:
Ca: 0.2378 0.2500 0.3194 [2 per cell]
Ag: 0.2540 0.7500 0.1570 [2 per cell]
Ag: 0.2583 0.7500 0.5017 [2 per cell]
Pb: 0.2489 0.2500 0.9864 [2 per cell]
Pb: 0.2499 0.2500 0.6650 [2 per cell]

Record 11
CaAgPb2: computed XRD peak list (λ = 1.5418 Å (Cu Kα)), based on a crystal structure in Alexandria, relaxed with PBE.
No peak broadening, texture or thermal motion is included.

Main lines, low angle first (15 to 90 degrees two-theta):
index  2θ/deg  I (rel.)
1 0 1  18.49  12
1 0 3  23.62  20
1 1 2  27.29  14
1 1 4  32.81  100
2 0 0  35.95  45
2 2 0  51.75  16
2 0 8  56.48  14
3 1 4  62.65  31

Cell and atoms:
Lattice parameters (Å, degrees): 4.9961 4.9961 17.1961 90.00 90.00 90.00
Space group I4/mmm (No. 139)
Inequivalent atoms, fractional coordinates:
Ca: 0.0000 0.0000 0.1342 [4 per cell]
Ag: 0.0000 0.5000 0.2500 [4 per cell]
Pb: 0.0000 0.0000 0.3512 [4 per cell]
Pb: 0.0000 0.5000 0.0000 [4 per cell]